Diffraction record for Cs3Tl11. The powder diffractogram is simulated, not measured: it uses a PBE-relaxed structure and copper Kα.
Lines closer than 0.1° are merged.

Principal peaks in the range 10° ≤ 2θ ≤ 80°, low angle first:
2θ (°), intensity
14.03, 34
26.83, 65
27.64, 93
29.20, 66
33.09, 100
33.35, 35
34.41, 31
35.46, 39
36.07, 49
49.69, 31

Cell and atoms:
```
Cs3Tl11
1.0
-2.7069 6.3136 7.8182
2.7069 -6.3136 7.8182
2.7069 6.3136 -7.8182
Cs Tl
3 11
Direct
0.0000 0.0000 0.0000
0.3011 0.3011 0.0000
0.6989 0.6989 0.0000
0.0240 0.6714 0.3526
0.1479 0.8681 0.2797
0.3104 0.5000 0.8104
0.3188 0.6714 0.6474
0.4116 0.1319 0.2797
0.5000 0.0000 0.5000
0.5884 0.8681 0.7203
0.6812 0.3286 0.3526
0.6896 0.5000 0.1896
0.8521 0.1319 0.7203
0.9760 0.3286 0.6474
```

=====

Diffraction record for Ac2InHg5. The powder diffractogram is simulated, not measured: it uses a PBE-relaxed structure and copper Kα.
Lines closer than 0.1° are merged.

Principal peaks in the range 10° ≤ 2θ ≤ 80°, low angle first:
2θ (°), intensity
31.60, 60
31.74, 100
31.83, 52
35.34, 37
35.97, 35
39.00, 31
51.18, 12
51.44, 13
54.09, 17
66.24, 12

Cell and atoms:
```
Ac2InHg5
1.0
6.7983 0.0000 0.0000
-0.5280 6.7868 0.0000
-3.1312 -3.3548 5.0795
Ac In Hg
2 1 5
Direct
0.0000 0.0000 0.0000
0.4716 0.5760 0.0411
0.4647 0.0319 0.5569
0.0140 0.5581 0.5016
0.4901 0.5129 0.5187
0.5380 0.0927 0.0744
0.9391 0.4885 0.9770
0.9817 0.0670 0.5229
```

=====

Diffraction record for PaMnIrPd. The powder diffractogram is simulated, not measured: it uses a PBE-relaxed structure and copper Kα.
Lines closer than 0.1° are merged.

Principal peaks in the range 10° ≤ 2θ ≤ 80°, low angle first:
2θ (°), intensity
23.11, 24
38.19, 100
45.11, 14
55.11, 17
60.54, 6
69.02, 35
73.87, 5

Cell and atoms:
```
PaMnIrPd
1.0
0.0000 3.3331 3.3331
3.3331 0.0000 3.3331
3.3331 3.3331 0.0000
Pa Mn Ir Pd
1 1 1 1
Direct
0.0000 0.0000 0.0000
0.5000 0.5000 0.5000
0.7500 0.7500 0.7500
0.2500 0.2500 0.2500
```

=====

Diffraction record for Ba4In2Te2S5. The powder diffractogram is simulated, not measured: it uses a PBE-relaxed structure and copper Kα.
Lines closer than 0.1° are merged.

Principal peaks in the range 10° ≤ 2θ ≤ 80°, low angle first:
2θ (°), intensity
23.40, 27
26.34, 91
28.39, 100
29.73, 55
31.95, 63
33.34, 22
40.02, 24
46.92, 73
47.86, 24
73.24, 19

Cell and atoms:
```
Ba4In2Te2S5
1.0
8.4993 0.0000 0.0000
0.0000 8.4993 0.0000
0.0000 0.0000 11.1870
Ba In Te S
8 4 4 10
Direct
0.0000 0.0000 0.2215
0.0000 0.0000 0.7785
0.1597 0.3403 0.5000
0.3403 0.8403 0.5000
0.5000 0.5000 0.2215
0.5000 0.5000 0.7785
0.6597 0.1597 0.5000
0.8403 0.6597 0.5000
0.0000 0.5000 0.1602
0.0000 0.5000 0.8398
0.5000 0.0000 0.1602
0.5000 0.0000 0.8398
0.1840 0.3160 0.0000
0.3160 0.8160 0.0000
0.6840 0.1840 0.0000
0.8160 0.6840 0.0000
0.0000 0.0000 0.5000
0.1555 0.6555 0.3049
0.1555 0.6555 0.6951
0.3445 0.1555 0.3049
0.3445 0.1555 0.6951
0.5000 0.5000 0.5000
0.6555 0.8445 0.3049
0.6555 0.8445 0.6951
0.8445 0.3445 0.3049
0.8445 0.3445 0.6951
```

=====

Diffraction record for CsRe3F. The powder diffractogram is simulated, not measured: it uses a PBE-relaxed structure and copper Kα.
Lines closer than 0.1° are merged.

Principal peaks in the range 10° ≤ 2θ ≤ 80°, low angle first:
2θ (°), intensity
19.40, 4
27.57, 1
33.94, 100
39.39, 56
44.27, 2
56.92, 38
60.72, 1
67.95, 41
71.42, 13

Cell and atoms:
```
CsRe3F
1.0
4.5755 0.0000 0.0000
0.0000 4.5755 0.0000
0.0000 0.0000 4.5755
Cs Re F
1 3 1
Direct
0.0000 0.0000 0.0000
0.0000 0.5000 0.5000
0.5000 0.0000 0.5000
0.5000 0.5000 0.0000
0.5000 0.5000 0.5000
```

=====

Diffraction record for InNi4S8. The powder diffractogram is simulated, not measured: it uses a PBE-relaxed structure and copper Kα.
Lines closer than 0.1° are merged.

Principal peaks in the range 10° ≤ 2θ ≤ 80°, low angle first:
2θ (°), intensity
15.54, 51
17.96, 35
25.50, 29
30.00, 100
36.38, 47
39.77, 12
47.84, 65
52.39, 74
61.56, 13
73.65, 18

Cell and atoms:
```
InNi4S8
1.0
0.0000 4.9395 4.9395
4.9395 0.0000 4.9395
4.9395 4.9395 0.0000
In Ni S
1 4 8
Direct
0.0000 0.0000 0.0000
0.1447 0.6184 0.6184
0.6184 0.1447 0.6184
0.6184 0.6184 0.1447
0.6184 0.6184 0.6184
0.3908 0.3908 0.3908
0.3908 0.3908 0.8277
0.3908 0.8277 0.3908
0.4316 0.8561 0.8561
0.8277 0.3908 0.3908
0.8561 0.4316 0.8561
0.8561 0.8561 0.4316
0.8561 0.8561 0.8561
```